Theoretical powder diffractogram of Dy3Er4Tm for copper Kα, from a cell relaxed with PBE.

Atomic structure:
Lattice parameters (Å, degrees): 11.1056 7.1889 6.2140 90.00 90.00 90.00
Space group Pmn2_1 (No. 31)
Inequivalent atoms, fractional coordinates:
1 Dy 0.0000 0.1258 0.0000 (multiplicity 2)
2 Dy 0.2500 0.1254 0.3334 (multiplicity 4)
3 Er 0.0000 0.3756 0.5009 (multiplicity 2)
4 Er 0.0000 0.6243 0.9998 (multiplicity 2)
5 Er 0.2492 0.6246 0.3335 (multiplicity 4)
6 Tm 0.0000 0.8745 0.4998 (multiplicity 2)

Peak list (8 most intense, 2θ from 15° to 90°, low angle first)
| hkl | 2θ/deg | d/Å | intensity |
| --- | --- | --- | --- |
| 0 2 1 | 28.7 | 3.110 | 24 |
| 4 0 0 | 32.2 | 2.776 | 24 |
| 2 2 1 | 33.0 | 2.713 | 100 |
| 4 2 1 | 43.7 | 2.071 | 15 |
| 0 4 0 | 50.9 | 1.796 | 20 |
| 6 2 1 | 58.0 | 1.591 | 20 |
| 4 4 0 | 61.5 | 1.508 | 23 |
| 2 4 2 | 62.0 | 1.497 | 16 |

Theoretical powder diffractogram of Tm2UN3 for copper Kα, from a cell relaxed with PBE.

Atomic structure:
Lattice parameters (Å, degrees): 13.1181 3.3504 8.3566 90.00 109.27 90.00
Space group C2/m (No. 12)
Inequivalent atoms, fractional coordinates:
1 Tm 0.1696 0.0000 0.3371 (multiplicity 4)
2 Tm 0.1714 0.5000 0.8359 (multiplicity 4)
3 U 0.0000 0.0000 0.5000 (multiplicity 2)
4 U 0.0000 0.5000 0.0000 (multiplicity 2)
5 N 0.0286 0.0000 0.8003 (multiplicity 4)
6 N 0.1376 0.5000 0.5261 (multiplicity 4)
7 N 0.1883 0.5000 0.1334 (multiplicity 4)

Peak list (8 most intense, 2θ from 15° to 90°, low angle first)
| hkl | 2θ/deg | d/Å | intensity |
| --- | --- | --- | --- |
| 4 0 -2 | 30.3 | 2.954 | 48 |
| 2 0 2 | 30.6 | 2.919 | 50 |
| 1 1 1 | 30.8 | 2.906 | 100 |
| 2 0 -4 | 43.3 | 2.089 | 23 |
| 3 1 -3 | 43.6 | 2.078 | 45 |
| 6 0 0 | 43.8 | 2.065 | 66 |
| 3 1 3 | 54.5 | 1.683 | 24 |
| 4 2 -2 | 63.9 | 1.456 | 25 |